1.
This entry pairs a crystal structure of NaAgC2N2 with its theoretical powder XRD pattern. Radiation: Cu Ka. Structure: a DFT-relaxed cell (GGA-PBE, the Materials Project).
Neutral-atom scattering factors, no anomalous dispersion.

Structure:
```
NaAgC2N2
1.0
3.336 -1.909 0.000
3.336 1.909 0.000
-0.455 0.000 17.636
Na Ag C N
2 2 4 4
direct
0.047 0.953 0.750 Na
0.953 0.047 0.250 Na
0.000 0.500 0.000 Ag
0.500 0.000 0.500 Ag
0.191 0.415 0.111 C
0.415 0.191 0.611 C
0.585 0.809 0.389 C
0.809 0.585 0.889 C
0.293 0.369 0.175 N
0.369 0.293 0.675 N
0.631 0.707 0.325 N
0.707 0.631 0.825 N
```

Peak list (12 most intense, 2θ = 10–90°, sorted by position)
2θ 10.03, intensity 100
2θ 20.14, intensity 44
2θ 26.73, intensity 30
2θ 27.32, intensity 61
2θ 27.45, intensity 62
2θ 28.37, intensity 48
2θ 28.88, intensity 25
2θ 30.41, intensity 16
2θ 30.81, intensity 35
2θ 31.15, intensity 22
2θ 37.48, intensity 22
2θ 48.81, intensity 16

***

2.
This entry pairs a crystal structure of Cs3Cu2Bi5S10 with its theoretical powder XRD pattern. Radiation: Cu Ka. Structure: a DFT-relaxed cell (GGA-PBE, the Materials Project).
Neutral-atom scattering factors, no anomalous dispersion.

Structure:
```
Cs3Cu2Bi5S10
1.0
15.211 0.000 0.000
0.000 18.199 0.000
0.000 0.000 4.114
Cs Cu Bi S
6 4 10 20
direct
0.000 0.000 0.000 Cs
0.022 0.248 0.500 Cs
0.478 0.748 0.000 Cs
0.500 0.500 0.500 Cs
0.522 0.252 0.000 Cs
0.978 0.752 0.500 Cs
0.220 0.740 0.000 Cu
0.280 0.240 0.500 Cu
0.720 0.760 0.500 Cu
0.780 0.260 0.000 Cu
0.000 0.500 0.000 Bi
0.211 0.590 0.500 Bi
0.244 0.894 0.500 Bi
0.256 0.394 0.000 Bi
0.289 0.090 0.000 Bi
0.500 0.000 0.500 Bi
0.711 0.910 0.000 Bi
0.744 0.606 0.000 Bi
0.756 0.106 0.500 Bi
0.789 0.410 0.500 Bi
0.097 0.634 0.000 S
0.114 0.442 0.500 S
0.139 0.849 0.000 S
0.178 0.029 0.500 S
0.207 0.221 0.000 S
0.293 0.721 0.500 S
0.322 0.529 0.000 S
0.361 0.349 0.500 S
0.386 0.942 0.000 S
0.403 0.134 0.500 S
0.597 0.866 0.500 S
0.614 0.058 0.000 S
0.639 0.651 0.500 S
0.678 0.471 0.000 S
0.707 0.279 0.500 S
0.793 0.779 0.000 S
0.822 0.971 0.500 S
0.861 0.151 0.000 S
0.886 0.558 0.500 S
0.903 0.366 0.000 S
```

Peak list (12 most intense, 2θ = 10–90°, sorted by position)
2θ 11.64, intensity 38
2θ 22.78, intensity 100
2θ 23.39, intensity 64
2θ 24.45, intensity 31
2θ 26.83, intensity 86
2θ 28.36, intensity 37
2θ 29.63, intensity 97
2θ 31.65, intensity 53
2θ 31.76, intensity 33
2θ 37.30, intensity 33
2θ 39.73, intensity 34
2θ 44.02, intensity 34

***

3.
This entry pairs a crystal structure of Cs2UPd3Se6 with its theoretical powder XRD pattern. Radiation: Cu Ka. Structure: a DFT-relaxed cell (GGA-PBE, the Materials Project).
Neutral-atom scattering factors, no anomalous dispersion.

Structure:
```
Cs2UPd3Se6
1.0
0.000 8.092 8.859
5.102 0.000 8.859
5.102 8.092 0.000
Cs U Pd Se
4 2 6 12
direct
0.197 0.803 0.197 Cs
0.250 0.250 0.250 Cs
0.750 0.750 0.750 Cs
0.803 0.197 0.803 Cs
0.333 0.333 0.667 U
0.667 0.667 0.333 U
0.005 0.674 0.995 Pd
0.326 0.995 0.674 Pd
0.330 0.670 0.670 Pd
0.670 0.330 0.330 Pd
0.674 0.005 0.326 Pd
0.995 0.326 0.005 Pd
0.099 0.308 0.692 Se
0.105 0.692 0.682 Se
0.308 0.099 0.901 Se
0.308 0.895 0.479 Se
0.318 0.479 0.895 Se
0.479 0.318 0.308 Se
0.521 0.682 0.692 Se
0.682 0.521 0.105 Se
0.692 0.105 0.521 Se
0.692 0.901 0.099 Se
0.895 0.308 0.318 Se
0.901 0.692 0.308 Se
```

Peak list (12 most intense, 2θ = 10–90°, sorted by position)
2θ 10.93, intensity 100
2θ 22.91, intensity 100
2θ 30.83, intensity 33
2θ 31.47, intensity 44
2θ 32.27, intensity 23
2θ 34.68, intensity 40
2θ 34.80, intensity 25
2θ 35.13, intensity 26
2θ 37.72, intensity 27
2θ 41.43, intensity 68
2θ 45.55, intensity 24
2θ 54.12, intensity 27

***

4.
This entry pairs a crystal structure of Sn with its theoretical powder XRD pattern. Radiation: Cu Ka. Structure: a DFT-relaxed cell (GGA-PBE, the Materials Project).
Neutral-atom scattering factors, no anomalous dispersion.

Structure:
```
Sn
1.0
12.365 0.000 0.000
0.000 12.365 0.000
0.000 0.000 12.365
Sn
46
direct
0.000 0.117 0.308 Sn
0.000 0.117 0.692 Sn
0.000 0.250 0.500 Sn
0.000 0.750 0.500 Sn
0.000 0.883 0.308 Sn
0.000 0.883 0.692 Sn
0.117 0.308 0.000 Sn
0.117 0.692 0.000 Sn
0.184 0.184 0.184 Sn
0.184 0.184 0.816 Sn
0.184 0.816 0.184 Sn
0.184 0.816 0.816 Sn
0.192 0.383 0.500 Sn
0.192 0.617 0.500 Sn
0.250 0.500 0.000 Sn
0.308 0.000 0.117 Sn
0.308 0.000 0.883 Sn
0.316 0.316 0.316 Sn
0.316 0.316 0.684 Sn
0.316 0.684 0.316 Sn
0.316 0.684 0.684 Sn
0.383 0.500 0.192 Sn
0.383 0.500 0.808 Sn
0.500 0.000 0.250 Sn
0.500 0.000 0.750 Sn
0.500 0.192 0.383 Sn
0.500 0.192 0.617 Sn
0.500 0.808 0.383 Sn
0.500 0.808 0.617 Sn
0.617 0.500 0.192 Sn
0.617 0.500 0.808 Sn
0.684 0.316 0.316 Sn
0.684 0.316 0.684 Sn
0.684 0.684 0.316 Sn
0.684 0.684 0.684 Sn
0.692 0.000 0.117 Sn
0.692 0.000 0.883 Sn
0.750 0.500 0.000 Sn
0.808 0.383 0.500 Sn
0.808 0.617 0.500 Sn
0.816 0.184 0.184 Sn
0.816 0.184 0.816 Sn
0.816 0.816 0.184 Sn
0.816 0.816 0.816 Sn
0.883 0.308 0.000 Sn
0.883 0.692 0.000 Sn
```

Peak list (12 most intense, 2θ = 10–90°, sorted by position)
2θ 16.03, intensity 79
2θ 17.57, intensity 56
2θ 24.95, intensity 30
2θ 25.98, intensity 23
2θ 26.98, intensity 81
2θ 29.79, intensity 35
2θ 33.20, intensity 34
2θ 39.24, intensity 27
2θ 42.64, intensity 100
2θ 43.29, intensity 34
2θ 43.93, intensity 26
2θ 45.20, intensity 54

***

5.
This entry pairs a crystal structure of La2TeI2 with its theoretical powder XRD pattern. Radiation: Cu Ka. Structure: a DFT-relaxed cell (GGA-PBE, the Materials Project).
Neutral-atom scattering factors, no anomalous dispersion.

Structure:
```
La2TeI2
1.0
2.269 1.310 11.231
-2.269 1.310 11.231
0.000 -2.620 11.231
La Te I
2 1 2
direct
0.114 0.114 0.114 La
0.886 0.886 0.886 La
0.500 0.500 0.500 Te
0.280 0.280 0.280 I
0.720 0.720 0.720 I
```

Peak list (12 most intense, 2θ = 10–90°, sorted by position)
2θ 26.25, intensity 100
2θ 29.34, intensity 9
2θ 31.13, intensity 26
2θ 35.08, intensity 21
2θ 39.72, intensity 42
2θ 41.75, intensity 26
2θ 48.24, intensity 19
2θ 58.99, intensity 9
2θ 64.21, intensity 16
2θ 64.54, intensity 18
2θ 72.10, intensity 8
2θ 73.48, intensity 10

***

6.
This entry pairs a crystal structure of Ce2In2PdRh with its theoretical powder XRD pattern. Radiation: Cu Ka. Structure: a DFT-relaxed cell (GGA-PBE, the Materials Project).
Neutral-atom scattering factors, no anomalous dispersion.

Structure:
```
Ce2In2PdRh
1.0
7.685 0.000 0.000
0.000 4.097 0.000
-0.002 0.000 13.139
Ce In Pd Rh
6 6 3 3
direct
0.000 0.000 0.000 Ce
0.007 0.000 0.590 Ce
0.112 0.000 0.303 Ce
0.490 0.000 0.498 Ce
0.499 0.000 0.095 Ce
0.609 0.000 0.796 Ce
0.328 0.500 0.672 In
0.328 0.500 0.922 In
0.450 0.500 0.298 In
0.827 0.500 0.422 In
0.830 0.500 0.173 In
0.951 0.500 0.796 In
0.202 0.500 0.131 Pd
0.701 0.500 0.964 Pd
0.702 0.500 0.631 Pd
0.198 0.000 0.797 Rh
0.202 0.500 0.464 Rh
0.697 0.000 0.297 Rh
```

Peak list (12 most intense, 2θ = 10–90°, sorted by position)
2θ 31.93, intensity 52
2θ 32.10, intensity 100
2θ 34.80, intensity 92
2θ 35.01, intensity 45
2θ 35.71, intensity 25
2θ 35.97, intensity 25
2θ 36.13, intensity 26
2θ 40.81, intensity 35
2θ 41.23, intensity 17
2θ 44.22, intensity 42
2θ 61.73, intensity 20
2θ 65.22, intensity 15

***

7.
This entry pairs a crystal structure of Gd5Si4 with its theoretical powder XRD pattern. Radiation: Cu Ka. Structure: a DFT-relaxed cell (GGA-PBE, the Materials Project).
Neutral-atom scattering factors, no anomalous dispersion.

Structure:
```
Gd5Si4
1.0
7.517 0.000 0.000
0.009 7.770 0.000
0.002 0.005 14.805
Gd Si
20 16
direct
0.000 0.000 0.000 Gd
0.000 0.000 0.256 Gd
0.040 0.167 0.630 Gd
0.155 0.496 0.975 Gd
0.156 0.496 0.281 Gd
0.213 0.862 0.781 Gd
0.214 0.863 0.478 Gd
0.329 0.190 0.127 Gd
0.368 0.359 0.503 Gd
0.368 0.359 0.757 Gd
0.501 0.859 0.000 Gd
0.501 0.859 0.256 Gd
0.540 0.692 0.630 Gd
0.654 0.361 0.280 Gd
0.656 0.363 0.975 Gd
0.712 0.995 0.477 Gd
0.713 0.996 0.782 Gd
0.826 0.669 0.127 Gd
0.867 0.500 0.757 Gd
0.867 0.501 0.503 Gd
0.040 0.207 0.839 Si
0.041 0.206 0.419 Si
0.164 0.580 0.630 Si
0.206 0.780 0.128 Si
0.328 0.150 0.339 Si
0.328 0.151 0.918 Si
0.425 0.053 0.629 Si
0.444 0.554 0.128 Si
0.540 0.651 0.839 Si
0.540 0.652 0.419 Si
0.663 0.280 0.630 Si
0.705 0.079 0.128 Si
0.827 0.707 0.918 Si
0.827 0.708 0.339 Si
0.924 0.804 0.630 Si
0.943 0.304 0.128 Si
```

Peak list (12 most intense, 2θ = 10–90°, sorted by position)
2θ 25.83, intensity 34
2θ 26.54, intensity 27
2θ 27.03, intensity 49
2θ 29.88, intensity 49
2θ 31.64, intensity 64
2θ 32.07, intensity 100
2θ 33.44, intensity 71
2θ 33.73, intensity 44
2θ 35.57, intensity 29
2θ 37.22, intensity 34
2θ 37.72, intensity 35
2θ 56.86, intensity 41